1.
Calculated powder XRD pattern
Compound: Tb2Nd4SmY2
Radiation: Cu Ka
Structure: the PBE geometry in Alexandria
No peak broadening, texture or thermal motion is included.

Crystal structure
```
data_Tb2Nd4SmY2
_space_group_name_H-M_alt 'C 1 2/m 1'
_space_group_IT_number 12
_space_group_name_Hall '-C 2y'
_cell_length_a 15.3846
_cell_length_b 5.1217
_cell_length_c 8.0973
_cell_angle_alpha 90.00
_cell_angle_beta 108.38
_cell_angle_gamma 90.00
loop_
_atom_site_label
_atom_site_fract_x
_atom_site_fract_y
_atom_site_fract_z
Tb1 0.1675 0.0000 0.9999
Nd1 0.0548 0.0000 0.3311
Nd2 0.2224 0.5000 0.3319
Sm1 0.0000 0.5000 0.0000
Y1 0.1115 0.5000 0.6684
```

The 10 most intense peaks (2θ from 5° to 70°), in order of rising 2θ:
d 7.684, I = 1, (0 0 1)
d 6.394, I = 1, (2 0 -1)
d 4.833, I = 1, (1 1 0)
d 4.298, I = 1, (1 1 -1)
d 2.958, I = 100, (3 1 1)
d 2.562, I = 50, (0 2 0)
d 1.812, I = 36, (6 0 2)
d 1.545, I = 36, (9 1 0)
d 1.544, I = 7, (3 1 -5)
d 1.479, I = 12, (6 2 2)

---

2.
Calculated powder XRD pattern
Compound: Tb2Nd2SmY6
Radiation: Cu Ka
Structure: the PBE geometry in Alexandria
No peak broadening, texture or thermal motion is included.

Crystal structure
```
data_Tb2Nd2SmY6
_space_group_name_H-M_alt 'C 1 2/m 1'
_space_group_IT_number 12
_space_group_name_Hall '-C 2y'
_cell_length_a 5.7156
_cell_length_b 12.0959
_cell_length_c 10.6727
_cell_angle_alpha 90.00
_cell_angle_beta 90.09
_cell_angle_gamma 90.00
loop_
_atom_site_label
_atom_site_fract_x
_atom_site_fract_y
_atom_site_fract_z
Tb1 0.0000 0.2056 0.0000
Nd1 0.0000 0.1339 0.5000
Sm1 0.0000 0.5000 0.0000
Y1 0.0008 0.0000 0.7937
Y2 0.0008 0.3472 0.7088
```

The 10 most intense peaks (2θ from 5° to 70°), in order of rising 2θ:
d 2.930, I = 28, (1 1 3)
d 2.909, I = 23, (0 4 1)
d 2.858, I = 38, (2 0 0)
d 2.803, I = 100, (1 3 2)
d 2.668, I = 20, (0 0 4)
d 2.039, I = 16, (2 4 -1)
d 1.950, I = 16, (2 0 4)
d 1.639, I = 20, (3 3 2)
d 1.500, I = 15, (1 7 3)
d 1.489, I = 13, (2 4 5)

---

3.
Calculated powder XRD pattern
Compound: Tb4Nd2SmY2
Radiation: Cu Ka
Structure: the PBE geometry in Alexandria
No peak broadening, texture or thermal motion is included.

Crystal structure
```
data_Tb4Nd2SmY2
_space_group_name_H-M_alt 'C 1 2/m 1'
_space_group_IT_number 12
_space_group_name_Hall '-C 2y'
_cell_length_a 18.8415
_cell_length_b 3.6297
_cell_length_c 9.6435
_cell_angle_alpha 90.00
_cell_angle_beta 115.72
_cell_angle_gamma 90.00
loop_
_atom_site_label
_atom_site_fract_x
_atom_site_fract_y
_atom_site_fract_z
Tb1 0.0190 0.0000 0.3350
Tb2 0.1855 0.5000 0.3361
Nd1 0.1663 0.0000 0.0007
Sm1 0.0000 0.5000 0.0000
Y1 0.1470 0.5000 0.6636
```

The 10 most intense peaks (2θ from 5° to 70°), in order of rising 2θ:
d 3.119, I = 40, (6 0 -1)
d 2.896, I = 50, (0 0 3)
d 2.830, I = 100, (3 1 -2)
d 2.691, I = 91, (3 1 1)
d 1.814, I = 39, (0 2 0)
d 1.690, I = 21, (6 0 3)
d 1.602, I = 20, (3 1 4)
d 1.537, I = 45, (9 1 1)
d 1.527, I = 15, (12 0 -4)
d 1.504, I = 15, (12 0 -1)

---

4.
Calculated powder XRD pattern
Compound: Nd3Sm2Te5
Radiation: Cu Ka
Structure: the PBE geometry in Alexandria
No peak broadening, texture or thermal motion is included.

Crystal structure
```
data_Nd3Sm2Te5
_space_group_name_H-M_alt 'C 1 2/m 1'
_space_group_IT_number 12
_space_group_name_Hall '-C 2y'
_cell_length_a 16.1530
_cell_length_b 4.2549
_cell_length_c 11.4222
_cell_angle_alpha 90.00
_cell_angle_beta 125.65
_cell_angle_gamma 90.00
loop_
_atom_site_label
_atom_site_fract_x
_atom_site_fract_y
_atom_site_fract_z
Nd1 0.0000 0.0000 0.0000
Nd2 0.1194 0.5000 0.3689
Sm1 0.1523 0.0000 0.7459
Te1 0.0000 0.5000 0.5000
Te2 0.1152 0.5000 0.9232
Te3 0.2184 0.0000 0.2894
```

The 10 most intense peaks (2θ from 5° to 70°), in order of rising 2θ:
d 3.219, I = 100, (3 1 -2)
d 3.044, I = 55, (2 0 2)
d 2.820, I = 30, (3 1 -3)
d 2.810, I = 19, (1 1 2)
d 2.601, I = 25, (3 1 1)
d 2.468, I = 28, (5 1 -1)
d 2.462, I = 22, (6 0 -4)
d 2.190, I = 24, (1 1 -4)
d 2.127, I = 29, (0 2 0)
d 1.744, I = 21, (2 2 2)

---

5.
Calculated powder XRD pattern
Compound: Nd5SmTe4
Radiation: Cu Ka
Structure: the PBE geometry in Alexandria
No peak broadening, texture or thermal motion is included.

Crystal structure
```
data_Nd5SmTe4
_space_group_name_H-M_alt 'C 1 2/m 1'
_space_group_IT_number 12
_space_group_name_Hall '-C 2y'
_cell_length_a 18.8386
_cell_length_b 4.3422
_cell_length_c 8.7063
_cell_angle_alpha 90.00
_cell_angle_beta 102.33
_cell_angle_gamma 90.00
loop_
_atom_site_label
_atom_site_fract_x
_atom_site_fract_y
_atom_site_fract_z
Nd1 0.0000 0.0000 0.0000
Nd2 0.1645 0.5000 0.3086
Nd3 0.1838 0.5000 0.8548
Sm1 0.0000 0.0000 0.5000
Te1 0.0095 0.5000 0.7528
Te2 0.1670 0.0000 0.5764
```

The 10 most intense peaks (2θ from 5° to 70°), in order of rising 2θ:
d 3.544, I = 7, (3 1 0)
d 3.072, I = 100, (1 1 -2)
d 2.545, I = 8, (5 1 1)
d 2.185, I = 22, (5 1 2)
d 2.176, I = 12, (2 0 -4)
d 2.171, I = 13, (0 2 0)
d 2.158, I = 24, (7 1 -2)
d 1.772, I = 13, (6 2 0)
d 1.760, I = 6, (8 0 -4)
d 1.537, I = 8, (2 2 -4)

---

6.
Calculated powder XRD pattern
Compound: NdSm3Te2
Radiation: Cu Ka
Structure: the PBE geometry in Alexandria
No peak broadening, texture or thermal motion is included.

Crystal structure
```
data_NdSm3Te2
_space_group_name_H-M_alt 'C 1 2/m 1'
_space_group_IT_number 12
_space_group_name_Hall '-C 2y'
_cell_length_a 18.6977
_cell_length_b 4.0161
_cell_length_c 10.9505
_cell_angle_alpha 90.00
_cell_angle_beta 114.57
_cell_angle_gamma 90.00
loop_
_atom_site_label
_atom_site_fract_x
_atom_site_fract_y
_atom_site_fract_z
Nd1 0.1098 0.0000 0.1082
Sm1 0.0495 0.0000 0.6576
Sm2 0.1357 0.5000 0.4612
Sm3 0.1919 0.5000 0.8658
Te1 0.0139 0.5000 0.8494
Te2 0.2478 0.5000 0.3083
```

The 10 most intense peaks (2θ from 5° to 70°), in order of rising 2θ:
d 3.228, I = 58, (1 1 -2)
d 2.941, I = 93, (1 1 2)
d 2.808, I = 72, (6 0 -3)
d 2.732, I = 100, (5 1 -1)
d 2.722, I = 60, (4 0 2)
d 2.659, I = 63, (1 1 -3)
d 2.595, I = 31, (5 1 0)
d 2.008, I = 46, (0 2 0)
d 1.633, I = 29, (6 2 -3)
d 1.566, I = 35, (5 1 4)